Structure and simulated powder X-ray diffraction pattern of BaHg3Se4 (the GGA-PBE geometry in Alexandria; Cu Ka).
No peak broadening, texture or thermal motion is included.

Cell and atoms:
abc: 7.6400 15.3438 4.6384
angles: 90.00 90.00 90.00
Space group Cmmm (No. 65)
Unique sites:
Ba 0.0000 0.0000 0.0000 (multiplicity 2)
Hg 0.0000 0.2594 0.5000 (multiplicity 4)
Hg 0.0000 0.5000 0.5000 (multiplicity 2)
Se 0.2341 0.1212 0.5000 (multiplicity 8)

Top 8 peaks for 10° ≤ 2θ ≤ 80°, by intensity:
Position (°2θ)	I_rel
19.13	100
33.10	89
38.51	66
23.17	61
51.92	50
38.83	30
37.04	28
22.40	22